Starting from a crystal structure in Alexandria, relaxed with GGA+U, the powder XRD pattern of Li4Fe5SnO12 was computed for λ = 1.5418 Å (Cu Kα).
Neutral-atom scattering factors, no anomalous dispersion.

Main lines, most intense first (5 to 70 degrees two-theta):
2θ/deg, I/Imax
17.63, 100
45.93, 20
35.44, 19
42.83, 18
36.67, 18
34.73, 12
56.08, 11
61.90, 11

Atomic structure:
Unit cell a=5.1542 b=5.1542 c=10.1567 alpha=94.00 beta=94.00 gamma=119.21
Fractional positions:
Li  0.0911  0.7541  0.7440
Li  0.2459  0.9089  0.2560
Li  0.7541  0.0911  0.7440
Li  0.9089  0.2459  0.2560
Fe  0.0000  0.0000  0.5000
Fe  0.1665  0.8335  0.0000
Fe  0.3350  0.6650  0.5000
Fe  0.6650  0.3350  0.5000
Fe  0.8335  0.1665  0.0000
Sn  0.5000  0.5000  0.0000
O  0.0186  0.3482  0.6047
O  0.1139  0.1139  0.8932
O  0.1988  0.5515  0.1113
O  0.2768  0.2768  0.3962
O  0.3482  0.0186  0.6047
O  0.4485  0.8012  0.8887
O  0.5515  0.1988  0.1113
O  0.6518  0.9814  0.3953
O  0.7232  0.7232  0.6038
O  0.8012  0.4485  0.8887
O  0.8861  0.8861  0.1068
O  0.9814  0.6518  0.3953